[1]
Structure and computed X-ray powder pattern of PaZn3O6 (a DFT-relaxed cell (PBE, Alexandria); Cu Ka).

Structure:
```
data_PaZn3O6
_space_group_name_H-M_alt 'P 1 21/c 1'
_space_group_IT_number 14
_space_group_name_Hall '-P 2ybc'
_cell_length_a 5.4627
_cell_length_b 5.3094
_cell_length_c 9.9819
_cell_angle_alpha 90.00
_cell_angle_beta 123.01
_cell_angle_gamma 90.00
loop_
_atom_site_label
_atom_site_type_symbol
_atom_site_fract_x
_atom_site_fract_y
_atom_site_fract_z
Pa1 Pa 0.0000 0.0000 0.0000
Zn1 Zn 0.2832 0.0094 0.7619
Zn2 Zn 0.5000 0.0000 0.5000
O1 O 0.0772 0.1651 0.4149
O2 O 0.2885 0.6782 0.4387
O3 O 0.3680 0.1257 0.2412
```

Largest 12 diffraction maxima, by intensity, 2θ = 5–70°:
2θ = 31.77°, rel. 100, hkl 1 1 -3
2θ = 19.80°, rel. 25, hkl 0 1 1
2θ = 32.79°, rel. 23, hkl 2 0 -2
2θ = 59.15°, rel. 22, hkl 1 3 1
2θ = 33.76°, rel. 20, hkl 0 2 0
2θ = 19.41°, rel. 19, hkl 1 0 -2
2θ = 47.78°, rel. 19, hkl 2 2 -2
2θ = 23.36°, rel. 15, hkl 1 1 -1
2θ = 57.81°, rel. 13, hkl 3 1 -1
2θ = 43.23°, rel. 13, hkl 0 0 4
2θ = 55.95°, rel. 11, hkl 0 2 4
2θ = 57.96°, rel. 11, hkl 3 1 -5

[2]
Structure and computed X-ray powder pattern of Pa5Zn3O16 (a DFT-relaxed cell (PBE, Alexandria); Cu Ka).

Structure:
```
data_Pa5Zn3O16
_space_group_name_H-M_alt 'C 1 m 1'
_space_group_IT_number 8
_space_group_name_Hall 'C -2y'
_cell_length_a 9.8788
_cell_length_b 7.3068
_cell_length_c 10.3124
_cell_angle_alpha 90.00
_cell_angle_beta 98.20
_cell_angle_gamma 90.00
loop_
_atom_site_label
_atom_site_type_symbol
_atom_site_fract_x
_atom_site_fract_y
_atom_site_fract_z
Pa1 Pa 0.0000 0.0000 0.0000
Pa2 Pa 0.0257 0.2503 0.7040
Pa3 Pa 0.2275 0.0000 0.4518
Pa4 Pa 0.4467 0.0000 0.1977
Zn1 Zn 0.2306 0.3073 0.1864
Zn2 Zn 0.2440 0.5000 0.5003
O1 O 0.0401 0.2721 0.1030
O2 O 0.0739 0.0000 0.3156
O3 O 0.1078 0.5000 0.7878
O4 O 0.1173 0.0000 0.8109
O5 O 0.1528 0.5000 0.3163
O6 O 0.1746 0.2582 0.5662
O7 O 0.2501 0.0000 0.0865
O8 O 0.3221 0.5000 0.0959
O9 O 0.3454 0.1798 0.3289
O10 O 0.4087 0.0000 0.5959
O11 O 0.4138 0.2937 0.8556
O12 O 0.4369 0.5000 0.5922
```

Largest 12 diffraction maxima, by intensity, 2θ = 5–70°:
2θ = 21.24°, rel. 100, hkl 2 0 1
2θ = 31.06°, rel. 82, hkl 2 2 -1
2θ = 18.12°, rel. 80, hkl 2 0 0
2θ = 30.08°, rel. 70, hkl 0 2 2
2θ = 25.90°, rel. 62, hkl 0 2 1
2θ = 32.54°, rel. 62, hkl 2 2 1
2θ = 24.10°, rel. 59, hkl 1 1 2
2θ = 29.78°, rel. 53, hkl 2 0 -3
2θ = 36.73°, rel. 51, hkl 4 0 0
2θ = 46.05°, rel. 41, hkl 4 2 -2
2θ = 29.21°, rel. 39, hkl 1 1 -3
2θ = 17.38°, rel. 37, hkl 0 0 2

[3]
Structure and computed X-ray powder pattern of PaZn4O6 (a DFT-relaxed cell (PBE, Alexandria); Cu Ka).

Structure:
```
data_PaZn4O6
_space_group_name_H-M_alt 'I 2 2 2'
_space_group_IT_number 23
_space_group_name_Hall 'I 2 2'
_cell_length_a 4.3743
_cell_length_b 8.1929
_cell_length_c 9.5217
_cell_angle_alpha 90.00
_cell_angle_beta 90.00
_cell_angle_gamma 90.00
loop_
_atom_site_label
_atom_site_type_symbol
_atom_site_fract_x
_atom_site_fract_y
_atom_site_fract_z
Pa1 Pa 0.0000 0.0000 0.0000
Zn1 Zn 0.1266 0.1715 0.3573
O1 O 0.0000 0.0000 0.5000
O2 O 0.0000 0.5000 0.5000
O3 O 0.0081 0.1915 0.8391
```

Largest 12 diffraction maxima, by intensity, 2θ = 5–70°:
2θ = 23.05°, rel. 100, hkl 1 1 0
2θ = 29.80°, rel. 61, hkl 1 1 2
2θ = 14.26°, rel. 58, hkl 0 1 1
2θ = 31.36°, rel. 55, hkl 1 2 1
2θ = 28.75°, rel. 49, hkl 0 2 2
2θ = 30.20°, rel. 44, hkl 0 1 3
2θ = 34.16°, rel. 43, hkl 0 3 1
2θ = 55.34°, rel. 30, hkl 1 3 4
2θ = 43.89°, rel. 29, hkl 2 1 1
2θ = 44.00°, rel. 28, hkl 0 2 4
2θ = 43.44°, rel. 28, hkl 1 3 2
2θ = 34.93°, rel. 27, hkl 1 0 3